Computed powder diffractogram of Te3W2Se4Cl8O2 for Cu Kα, from DFT lattice parameters and positions (PBE+U).

Crystal structure
```
data_Te3W2Se4Cl8O2
_chemical_formula_sum 'Te12 W8 Se16 Cl32 O8'
_space_group_name_H-M_alt 'C 1 c 1'
_space_group_IT_number 9
_space_group_name_Hall 'C -2yc'
_cell_length_a 12.8167
_cell_length_b 11.1398
_cell_length_c 15.4721
_cell_angle_alpha 90.00
_cell_angle_beta 101.42
_cell_angle_gamma 90.00
loop_
_atom_site_label
_atom_site_type_symbol
_atom_site_fract_x
_atom_site_fract_y
_atom_site_fract_z
_atom_site_occupancy
Te1 Te 0.0000 0.0852 0.0000 1
Te2 Te 0.0566 0.1390 0.3057 1
Te3 Te 0.4478 0.3600 0.1949 1
W1 W 0.0046 0.4904 0.8704 1
W2 W 0.4989 0.0088 0.6198 1
Se1 Se 0.1306 0.0425 0.7253 1
Se2 Se 0.1356 0.0609 0.4661 1
Se3 Se 0.3671 0.4360 0.0343 1
Se4 Se 0.3733 0.4575 0.7739 1
Cl1 Cl 0.1032 0.3247 0.6366 1
Cl2 Cl 0.1102 0.3121 0.8877 1
Cl3 Cl 0.1581 0.3694 0.1566 1
Cl4 Cl 0.1635 0.3915 0.4019 1
Cl5 Cl 0.3401 0.1099 0.0970 1
Cl6 Cl 0.3447 0.1317 0.3430 1
Cl7 Cl 0.3932 0.1863 0.6131 1
Cl8 Cl 0.4009 0.1745 0.8617 1
O1 O 0.0014 0.4865 0.9979 1
O2 O 0.0018 0.4985 0.7479 1
```

Principal peaks in the range 15 to 90 degrees two-theta, in order of rising 2θ:
- 15.91 deg, d 5.570, rel. 97
- 21.32 deg, d 4.167, rel. 44
- 22.68 deg, d 3.920, rel. 25
- 23.77 deg, d 3.743, rel. 24
- 24.48 deg, d 3.636, rel. 100
- 24.97 deg, d 3.566, rel. 34
- 27.08 deg, d 3.292, rel. 93
- 29.70 deg, d 3.008, rel. 24
- 32.22 deg, d 2.778, rel. 95
- 41.12 deg, d 2.195, rel. 38
- 42.82 deg, d 2.112, rel. 24
- 46.92 deg, d 1.937, rel. 25